[1]
Starting from a cell relaxed with GGA-PBE, the powder diffraction line list of Nd5As4Cl3O12 was computed for CuKα.
Peak positions follow from Bragg's law for the DFT cell and can differ from measured ones.

Atomic structure:
Cell lengths 10.419, 5.489, 17.012 Å; angles 90.00, 123.73, 90.00 degrees
Space group P2/c (No. 13)
Inequivalent atoms, fractional coordinates:
Nd 0.000 0.208 0.250 [2 per cell]
Nd 0.004 0.265 0.586 [4 per cell]
Nd 0.337 0.244 0.532 [4 per cell]
As 0.257 0.263 0.150 [4 per cell]
As 0.271 0.238 0.862 [4 per cell]
Cl 0.497 0.254 0.420 [4 per cell]
Cl 0.500 0.248 0.750 [2 per cell]
O 0.093 0.327 0.156 [4 per cell]
O 0.138 0.152 0.742 [4 per cell]
O 0.172 0.012 0.064 [4 per cell]
O 0.180 0.494 0.879 [4 per cell]
O 0.184 0.499 0.555 [4 per cell]
O 0.189 0.013 0.903 [4 per cell]

Main lines, most intense first (2θ from 10° to 80°):
| 2θ/deg | I/Imax | hkl |
| --- | --- | --- |
| 30.5 | 100 | 3 1 -3 |
| 30.8 | 86 | 1 1 3 |
| 32.6 | 45 | 0 2 0 |
| 10.2 | 43 | 1 0 0 |
| 46.0 | 43 | 2 2 -6 |
| 31.6 | 40 | 2 0 -6 |
| 24.9 | 40 | 0 1 3 |
| 24.7 | 35 | 2 1 -3 |
| 45.6 | 21 | 3 2 0 |
| 12.5 | 18 | 0 0 2 |

=====

[2]
Starting from a cell relaxed with GGA-PBE, the powder diffraction line list of USCl9 was computed for CuKα.
Peak positions follow from Bragg's law for the DFT cell and can differ from measured ones.

Atomic structure:
Cell lengths 11.079, 11.161, 11.701 Å; angles 90.00, 90.00, 90.00 degrees
Space group P2_12_12_1 (No. 19)
Inequivalent atoms, fractional coordinates:
U 0.174 0.224 0.232 [4 per cell]
S 0.211 0.326 0.659 [4 per cell]
Cl 0.019 0.766 0.156 [4 per cell]
Cl 0.054 0.113 0.084 [4 per cell]
Cl 0.061 0.420 0.623 [4 per cell]
Cl 0.135 0.820 0.622 [4 per cell]
Cl 0.148 0.419 0.121 [4 per cell]
Cl 0.159 0.157 0.627 [4 per cell]
Cl 0.206 0.034 0.345 [4 per cell]
Cl 0.207 0.662 0.885 [4 per cell]
Cl 0.217 0.331 0.830 [4 per cell]

Main lines, most intense first (2θ from 10° to 80°):
| 2θ/deg | I/Imax | hkl |
| --- | --- | --- |
| 13.6 | 100 | 1 1 1 |
| 17.9 | 48 | 2 1 0 |
| 22.0 | 46 | 0 2 2 |
| 15.1 | 44 | 0 0 2 |
| 15.9 | 43 | 0 2 0 |
| 23.5 | 37 | 2 1 2 |
| 11.0 | 25 | 1 0 1 |
| 36.8 | 25 | 4 1 2 |
| 16.0 | 24 | 2 0 0 |
| 37.2 | 21 | 3 2 3 |

=====

[3]
Starting from a cell relaxed with GGA-PBE, the powder diffraction line list of LiSiBiO4 was computed for CuKα.
Peak positions follow from Bragg's law for the DFT cell and can differ from measured ones.

Atomic structure:
Cell lengths 10.376, 5.393, 14.892 Å; angles 90.00, 90.00, 90.00 degrees
Space group Pca2_1 (No. 29)
Inequivalent atoms, fractional coordinates:
Li 0.022 0.022 0.000 [4 per cell]
Li 0.226 0.496 0.763 [4 per cell]
Si 0.025 0.462 0.382 [4 per cell]
Si 0.232 0.014 0.632 [4 per cell]
Bi 0.034 0.961 0.249 [4 per cell]
Bi 0.230 0.513 0.019 [4 per cell]
O 0.002 0.163 0.387 [4 per cell]
O 0.038 0.409 0.975 [4 per cell]
O 0.041 0.411 0.792 [4 per cell]
O 0.077 0.044 0.614 [4 per cell]
O 0.181 0.529 0.381 [4 per cell]
O 0.197 0.273 0.162 [4 per cell]
O 0.198 0.913 0.038 [4 per cell]
O 0.236 0.816 0.213 [4 per cell]

Main lines, most intense first (2θ from 10° to 80°):
| 2θ/deg | I/Imax | hkl |
| --- | --- | --- |
| 20.3 | 100 | 0 1 2 |
| 20.9 | 89 | 2 0 2 |
| 34.0 | 53 | 2 1 4 |
| 23.8 | 47 | 2 1 0 |
| 39.6 | 34 | 2 2 2 |
| 23.9 | 24 | 0 0 4 |
| 40.4 | 22 | 4 1 2 |
| 33.2 | 22 | 0 2 0 |
| 40.0 | 18 | 0 1 6 |
| 40.3 | 17 | 2 0 6 |

=====

[4]
Starting from a cell relaxed with GGA-PBE, the powder diffraction line list of GaFe2N3 was computed for CuKα.
Peak positions follow from Bragg's law for the DFT cell and can differ from measured ones.

Atomic structure:
Cell lengths 9.355, 5.294, 5.047 Å; angles 90.00, 90.00, 90.00 degrees
Space group Cmc2_1 (No. 36)
Inequivalent atoms, fractional coordinates:
Ga 0.000 0.166 0.000 [4 per cell]
Fe 0.177 0.335 0.485 [8 per cell]
N 0.000 0.185 0.385 [4 per cell]
N 0.168 0.341 0.849 [8 per cell]

Main lines, most intense first (2θ from 10° to 80°):
| 2θ/deg | I/Imax | hkl |
| --- | --- | --- |
| 37.9 | 100 | 3 1 1 |
| 35.6 | 55 | 0 0 2 |
| 38.4 | 54 | 0 2 1 |
| 33.3 | 49 | 3 1 0 |
| 65.5 | 30 | 3 1 3 |
| 60.3 | 29 | 3 3 0 |
| 72.0 | 24 | 3 3 2 |
| 33.9 | 22 | 0 2 0 |
| 49.6 | 20 | 3 1 2 |
| 65.8 | 16 | 0 2 3 |

=====

[5]
Starting from a cell relaxed with GGA-PBE, the powder diffraction line list of Ho2Al9Pd3 was computed for CuKα.
Peak positions follow from Bragg's law for the DFT cell and can differ from measured ones.

Atomic structure:
Cell lengths 13.212, 7.676, 9.422 Å; angles 90.00, 90.00, 90.00 degrees
Space group Cmcm (No. 63)
Inequivalent atoms, fractional coordinates:
Ho 0.163 0.168 0.250 [8 per cell]
Al 0.000 0.127 0.750 [4 per cell]
Al 0.000 0.334 0.060 [8 per cell]
Al 0.105 0.442 0.750 [8 per cell]
Al 0.167 0.167 0.577 [16 per cell]
Pd 0.000 0.000 0.000 [4 per cell]
Pd 0.172 0.500 0.000 [8 per cell]

Main lines, most intense first (2θ from 10° to 80°):
| 2θ/deg | I/Imax | hkl |
| --- | --- | --- |
| 30.1 | 100 | 0 2 2 |
| 37.0 | 67 | 3 1 3 |
| 40.8 | 64 | 3 3 0 |
| 25.2 | 36 | 3 1 1 |
| 41.0 | 29 | 6 0 0 |
| 38.2 | 27 | 0 0 4 |
| 57.1 | 25 | 3 3 4 |
| 16.3 | 20 | 1 1 1 |
| 51.6 | 20 | 6 2 2 |
| 64.1 | 19 | 0 2 6 |

=====

[6]
Starting from a cell relaxed with GGA-PBE, the powder diffraction line list of LiTbSe2 was computed for CuKα.
Peak positions follow from Bragg's law for the DFT cell and can differ from measured ones.

Atomic structure:
Cell lengths 4.0876, 4.0876, 19.5255 Å; angles 90.00, 90.00, 120.00 degrees
Space group R-3m (No. 166, hexagonal axes)
Inequivalent atoms, fractional coordinates:
Li 0.0000 0.0000 0.0000 [3 per cell]
Tb 0.0000 0.0000 0.5000 [3 per cell]
Se 0.0000 0.0000 0.2513 [6 per cell]

Main lines, most intense first (2θ from 10° to 80°):
| 2θ/deg | I/Imax | hkl |
| --- | --- | --- |
| 31.2 | 100 | 1 0 4 |
| 13.6 | 50 | 0 0 3 |
| 44.3 | 38 | 1 1 0 |
| 25.6 | 38 | 1 0 1 |
| 45.1 | 36 | 0 1 8 |
| 55.2 | 20 | 0 2 4 |
| 34.2 | 19 | 0 1 5 |
| 73.4 | 17 | 2 1 4 |
| 74.5 | 16 | 1 1 12 |
| 46.6 | 14 | 1 1 3 |